Entry 1:
This entry pairs a crystal structure of HfNbAg2Ge4 with its simulated powder X-ray diffraction pattern. Radiation: Cu Ka. Structure: a cell relaxed with PBE.
Intensities are scaled so that the largest is 100.

Crystal structure
a b c (Å): 3.8303 3.8303 9.6133
angles (deg): 90.00 90.00 90.00
Positions (direct):
Hf 0.0000 0.0000 0.0000
Nb 0.5000 0.5000 0.5632
Ag 0.0000 0.5000 0.2813
Ag 0.5000 0.0000 0.2813
Ge 0.0000 0.0000 0.4898
Ge 0.0000 0.5000 0.7754
Ge 0.5000 0.0000 0.7754
Ge 0.5000 0.5000 0.0699

Principal peaks in the range 5° ≤ 2θ ≤ 70°, in order of rising 2θ:
- d = 9.613 Å, I 10
- d = 3.558 Å, I 8
- d = 2.996 Å, I 12
- d = 2.403 Å, I 19
- d = 2.360 Å, I 100
- d = 2.036 Å, I 12
- d = 1.915 Å, I 29
- d = 1.498 Å, I 17
- d = 1.478 Å, I 6
- d = 1.395 Å, I 7
- d = 1.379 Å, I 7
- d = 1.354 Å, I 9



Entry 2:
This entry pairs a crystal structure of DyYAg2Sb4 with its simulated powder X-ray diffraction pattern. Radiation: Cu Ka. Structure: a cell relaxed with PBE.
Intensities are scaled so that the largest is 100.

Crystal structure
a b c (Å): 4.3426 4.3426 10.3899
angles (deg): 90.00 90.00 90.00
Positions (direct):
Dy 0.0000 0.0000 0.0000
Y 0.5000 0.5000 0.5268
Ag 0.0000 0.5000 0.2627
Ag 0.5000 0.0000 0.2627
Sb 0.0000 0.0000 0.4483
Sb 0.0000 0.5000 0.7639
Sb 0.5000 0.0000 0.7639
Sb 0.5000 0.5000 0.0771

Principal peaks in the range 5° ≤ 2θ ≤ 70°, in order of rising 2θ:
- d = 10.390 Å, I 6
- d = 3.332 Å, I 12
- d = 2.643 Å, I 100
- d = 2.597 Å, I 15
- d = 2.229 Å, I 9
- d = 2.171 Å, I 33
- d = 1.874 Å, I 5
- d = 1.819 Å, I 4
- d = 1.666 Å, I 15
- d = 1.555 Å, I 5
- d = 1.535 Å, I 11
- d = 1.508 Å, I 6



Entry 3:
This entry pairs a crystal structure of NaYBAu with its simulated powder X-ray diffraction pattern. Radiation: Cu Ka. Structure: a cell relaxed with PBE.
Intensities are scaled so that the largest is 100.

Crystal structure
a b c (Å): 6.4578 6.4578 6.4578
angles (deg): 90.00 90.00 90.00
Positions (direct):
Na 0.0000 0.0000 0.0000
Na 0.0000 0.5000 0.5000
Na 0.5000 0.0000 0.5000
Na 0.5000 0.5000 0.0000
Y 0.2500 0.2500 0.2500
Y 0.2500 0.7500 0.7500
Y 0.7500 0.2500 0.7500
Y 0.7500 0.7500 0.2500
B 0.0000 0.0000 0.5000
B 0.0000 0.5000 0.0000
B 0.5000 0.0000 0.0000
B 0.5000 0.5000 0.5000
Au 0.2500 0.2500 0.7500
Au 0.2500 0.7500 0.2500
Au 0.7500 0.2500 0.2500
Au 0.7500 0.7500 0.7500

Principal peaks in the range 5° ≤ 2θ ≤ 70°, in order of rising 2θ:
- d = 3.728 Å, I 26
- d = 3.229 Å, I 81
- d = 2.283 Å, I 100
- d = 1.947 Å, I 15
- d = 1.864 Å, I 23
- d = 1.614 Å, I 17
- d = 1.482 Å, I 6
- d = 1.444 Å, I 31



Entry 4:
This entry pairs a crystal structure of Tl2Pd3O4 with its simulated powder X-ray diffraction pattern. Radiation: Cu Ka. Structure: a cell relaxed with PBE.
Intensities are scaled so that the largest is 100.

Crystal structure
a b c (Å): 8.1883 8.1883 8.1883
angles (deg): 157.84 140.38 45.85
Positions (direct):
Tl 0.2068 0.2068 0.0000
Tl 0.7932 0.7932 0.0000
Pd 0.0000 0.5000 0.5000
Pd 0.4070 0.9070 0.5000
Pd 0.5930 0.0930 0.5000
O 0.1593 0.4026 0.7568
O 0.3542 0.5974 0.7568
O 0.6458 0.4026 0.2432
O 0.8407 0.5974 0.2432

Principal peaks in the range 5° ≤ 2θ ≤ 70°, in order of rising 2θ:
- d = 7.541 Å, I 15
- d = 2.775 Å, I 46
- d = 2.667 Å, I 34
- d = 2.650 Å, I 97
- d = 2.573 Å, I 100
- d = 1.923 Å, I 31
- d = 1.778 Å, I 20
- d = 1.577 Å, I 20
- d = 1.573 Å, I 12
- d = 1.560 Å, I 23
- d = 1.497 Å, I 27
- d = 1.353 Å, I 24



Entry 5:
This entry pairs a crystal structure of Ga2Ir7 with its simulated powder X-ray diffraction pattern. Radiation: Cu Ka. Structure: a cell relaxed with PBE.
Intensities are scaled so that the largest is 100.

Crystal structure
a b c (Å): 2.7459 2.7459 32.5051
angles (deg): 90.00 90.00 120.00
Positions (direct):
Ga 0.3333 0.6667 0.2241
Ga 0.6667 0.3333 0.7759
Ir 0.0000 0.0000 0.2942
Ir 0.0000 0.0000 0.5000
Ir 0.0000 0.0000 0.7058
Ir 0.3333 0.6667 0.4313
Ir 0.3333 0.6667 0.6370
Ir 0.6667 0.3333 0.3630
Ir 0.6667 0.3333 0.5687

Principal peaks in the range 5° ≤ 2θ ≤ 70°, in order of rising 2θ:
- d = 16.253 Å, I 11
- d = 10.835 Å, I 36
- d = 2.322 Å, I 28
- d = 2.282 Å, I 51
- d = 2.233 Å, I 100
- d = 2.177 Å, I 22
- d = 2.167 Å, I 25
- d = 1.986 Å, I 43
- d = 1.919 Å, I 59
- d = 1.853 Å, I 8
- d = 1.389 Å, I 19
- d = 1.372 Å, I 37



Entry 6:
This entry pairs a crystal structure of WI4 with its simulated powder X-ray diffraction pattern. Radiation: Cu Ka. Structure: a cell relaxed with PBE.
Intensities are scaled so that the largest is 100.

Crystal structure
a b c (Å): 7.7294 7.7294 12.6924
angles (deg): 114.17 114.17 49.48
Positions (direct):
W 0.2422 0.7578 0.7500
W 0.7578 0.2422 0.2500
I 0.1066 0.1316 0.4282
I 0.1316 0.1066 0.9282
I 0.3524 0.4063 0.8067
I 0.4063 0.3524 0.3067
I 0.5937 0.6476 0.6933
I 0.6476 0.5937 0.1933
I 0.8684 0.8934 0.0718
I 0.8934 0.8684 0.5718

Principal peaks in the range 5° ≤ 2θ ≤ 70°, in order of rising 2θ:
- d = 6.266 Å, I 16
- d = 5.662 Å, I 25
- d = 5.617 Å, I 26
- d = 4.746 Å, I 17
- d = 3.671 Å, I 100
- d = 3.173 Å, I 7
- d = 2.265 Å, I 24
- d = 2.250 Å, I 23
- d = 2.229 Å, I 23
- d = 1.941 Å, I 14
- d = 1.915 Å, I 19
- d = 1.897 Å, I 15